Rb3ZnBr5: simulated PXRD pattern (Cu Kα (weighted mean of Kα1 and Kα2)), based on DFT lattice parameters and positions (PBE).

Cell and atoms:
Cell: 9.336 10.622 13.790 Å, 90.00 90.00 90.00°
Space group Pnma (No. 62)
Inequivalent atoms, fractional coordinates:
Rb 0.086 0.250 0.046 x4
Rb 0.095 0.021 0.327 x8
Zn 0.189 0.250 0.607 x4
Br 0.034 0.750 0.486 x4
Br 0.137 0.250 0.779 x4
Br 0.155 0.750 0.764 x4
Br 0.185 0.559 0.062 x8

Most intense lines, 2θ from 10° to 80°, by angle:
index  Position (°2θ)  intensity
2 2 1  26.2  100
2 0 3  27.2  27
1 2 3  27.4  37
1 0 4  27.6  54
1 3 1  27.7  19
2 2 2  28.6  48
3 1 1  30.6  17
0 2 4  30.9  18
0 4 0  33.8  37
4 2 5  54.3  18